For CdIrCl2, the GGA-PBE geometry in Alexandria gives the simulated powder XRD pattern in this record (Cu Kα (λ = 1.5418 Å)).
Neutral-atom scattering factors, no anomalous dispersion.

Structural model:
Cell lengths 5.437, 11.816, 3.556 Å; angles 90.00, 90.00, 90.00 degrees
Space group Cmmm (No. 65)
Symmetry-distinct sites (fractional):
Cd 0.000 0.000 0.000 (multiplicity 2)
Ir 0.000 0.500 0.000 (multiplicity 2)
Cl 0.000 0.368 0.500 (multiplicity 4)

Largest 12 diffraction maxima, in order of rising 2θ, 5° ≤ 2θ ≤ 70°:
index, Position (°2θ), intensity
0 2 0, 15.00, 100
1 1 0, 17.96, 24
0 0 1, 25.04, 18
0 2 1, 29.31, 45
0 4 0, 30.26, 11
2 0 0, 32.95, 24
2 2 0, 36.38, 23
0 4 1, 39.66, 29
2 0 1, 41.82, 10
2 2 1, 44.67, 28
2 4 1, 52.48, 25
2 2 2, 64.58, 9